(1)
The following is a calculated powder XRD pattern of Li5Mn2P2C2O14. It was derived from a PBE+U-relaxed structure, using copper Kα.

Crystal structure
```
data_Li5Mn2P2C2O14
_symmetry_space_group_name_H-M 'P 1 21/m 1'
_symmetry_Int_Tables_number 11
_symmetry_space_group_name_Hall '-P 2yb'
_cell_length_a 8.513
_cell_length_b 6.436
_cell_length_c 10.109
_cell_angle_alpha 90.00
_cell_angle_beta 93.96
_cell_angle_gamma 90.00
loop_
_atom_site_label
_atom_site_type_symbol
_atom_site_fract_x
_atom_site_fract_y
_atom_site_fract_z
_atom_site_occupancy
Li1 Li 0.095 0.250 0.366 1
Li2 Li 0.254 0.017 0.113 1
Li3 Li 0.258 0.023 0.630 1
Mn1 Mn 0.336 0.750 0.354 1
Mn2 Mn 0.342 0.750 0.855 1
P1 P 0.415 0.250 0.390 1
P2 P 0.418 0.250 0.888 1
C1 C 0.041 0.750 0.398 1
C2 C 0.041 0.750 0.889 1
O1 O 0.076 0.750 0.278 1
O2 O 0.080 0.750 0.767 1
O3 O 0.101 0.250 0.080 1
O4 O 0.104 0.250 0.566 1
O5 O 0.156 0.750 0.494 1
O6 O 0.159 0.750 0.981 1
O7 O 0.312 0.064 0.336 1
O8 O 0.326 0.059 0.831 1
O9 O 0.410 0.750 0.156 1
O10 O 0.418 0.750 0.662 1
O11 O 0.426 0.250 0.042 1
O12 O 0.431 0.250 0.544 1
```

Peak list (12 most intense, 2θ from 15° to 90°, low angle first)
d_spacing  Rel. int.
5.129  30
4.473  35
4.210  50
3.969  19
3.523  30
3.364  39
3.218  100
2.828  27
2.464  28
2.248  30
1.772  20
1.600  19

***

(2)
The following is a calculated powder XRD pattern of NaCoO2. It was derived from a PBE+U-relaxed structure, using copper Kα.

Crystal structure
```
data_NaCoO2
_symmetry_space_group_name_H-M 'P 1'
_symmetry_Int_Tables_number 1
_symmetry_space_group_name_Hall 'P 1'
_cell_length_a 2.965
_cell_length_b 7.907
_cell_length_c 7.931
_cell_angle_alpha 69.14
_cell_angle_beta 87.87
_cell_angle_gamma 87.46
loop_
_atom_site_label
_atom_site_type_symbol
_atom_site_fract_x
_atom_site_fract_y
_atom_site_fract_z
_atom_site_occupancy
Na1 Na 0.000 0.000 0.000 1
Na2 Na 0.001 0.498 0.498 1
Na3 Na 0.531 0.371 0.868 1
Na4 Na 0.533 0.873 0.370 1
Co1 Co 0.021 0.258 0.239 1
Co2 Co 0.023 0.752 0.744 1
Co3 Co 0.507 0.623 0.120 1
Co4 Co 0.508 0.118 0.622 1
O1 O 0.000 0.008 0.523 1
O2 O 0.001 0.513 0.018 1
O3 O 0.062 0.724 0.223 1
O4 O 0.063 0.222 0.723 1
O5 O 0.468 0.149 0.145 1
O6 O 0.471 0.646 0.646 1
O7 O 0.532 0.849 0.859 1
O8 O 0.534 0.351 0.356 1
```

Peak list (12 most intense, 2θ from 15° to 90°, low angle first)
d_spacing  Rel. int.
3.699  31
2.642  22
2.632  19
2.480  14
2.466  14
2.247  100
2.139  37
1.628  12
1.591  14
1.587  14
1.554  12
1.544  11